[1]
Structure and simulated powder diffraction line list of Nd4Y3Se8 (a cell relaxed with PBE; Cu Kα, 1.54184 Å).
Peak positions follow from Bragg's law for the DFT cell and can differ from measured ones.

Top 8 peaks for 10° ≤ 2θ ≤ 90°, in order of falling intensity:
(hkl)  d [Å]  Position (°2θ)  I (rel.)
0 4 0  2.935  30.45  100.0
4 0 0  2.076  43.59  61.3
4 4 0  1.695  54.11  25.6
4 0 2  1.313  71.88  16.3
8 4 -4  1.312  71.95  13.4
4 4 2  1.199  80.01  12.2
4 0 -4  2.073  43.66  12.1
4 8 -4  1.198  80.14  11.9

```
data_Nd4Y3Se8
_chemical_formula_sum 'Nd8 Y6 Se16'
_symmetry_space_group_name_H-M 'C 1 2/m 1'
_symmetry_Int_Tables_number 12
_symmetry_space_group_name_Hall '-C 2y'
_cell_length_a 11.7340
_cell_length_b 11.7426
_cell_length_c 8.2926
_cell_angle_alpha 90.00
_cell_angle_beta 134.90
_cell_angle_gamma 90.00
loop_
_atom_site_label
_atom_site_fract_x
_atom_site_fract_y
_atom_site_fract_z
Nd1 0.0000 0.0000 0.0000
Nd2 0.0000 0.5000 0.5000
Nd3 0.2500 0.2500 0.0000
Y1 0.0000 0.5000 0.0000
Y2 0.2500 0.2500 0.5000
Se1 0.0000 0.2439 0.5000
Se2 0.0000 0.2541 0.0000
Se3 0.2477 0.0000 0.5081
Se4 0.2483 0.0000 0.9883
```

---

[2]
Structure and simulated powder diffraction line list of NaLa2ReN4 (a cell relaxed with PBE; Cu Kα, 1.54184 Å).
Peak positions follow from Bragg's law for the DFT cell and can differ from measured ones.

Top 8 peaks for 10° ≤ 2θ ≤ 90°, in order of falling intensity:
(hkl)  d [Å]  Position (°2θ)  I (rel.)
2 0 2  2.793  32.05  100.0
2 2 0  2.951  30.29  45.3
1 1 1  4.642  19.12  43.0
2 4 2  1.673  54.87  21.3
4 2 2  1.670  54.98  21.1
2 2 4  1.585  58.21  18.8
3 1 1  2.490  36.06  14.1
0 4 0  2.091  43.28  12.8

```
data_NaLa2ReN4
_chemical_formula_sum 'Na4 La8 Re4 N16'
_symmetry_space_group_name_H-M 'F m m 2'
_symmetry_Int_Tables_number 42
_symmetry_space_group_name_Hall 'F 2 -2'
_cell_length_a 8.3315
_cell_length_b 8.3625
_cell_length_c 7.5155
_cell_angle_alpha 90.00
_cell_angle_beta 90.00
_cell_angle_gamma 90.00
loop_
_atom_site_label
_atom_site_fract_x
_atom_site_fract_y
_atom_site_fract_z
Na1 0.0000 0.0000 0.0000
La1 0.2500 0.2500 0.2506
Re1 0.0000 0.0000 0.5015
N1 0.0000 0.2194 0.4273
N2 0.2194 0.0000 0.5771
```

---

[3]
Structure and simulated powder diffraction line list of LiSnPd5 (a cell relaxed with PBE; Cu Kα, 1.54184 Å).
Peak positions follow from Bragg's law for the DFT cell and can differ from measured ones.

Top 8 peaks for 10° ≤ 2θ ≤ 90°, in order of falling intensity:
(hkl)  d [Å]  Position (°2θ)  I (rel.)
2 0 4  2.203  40.96  100.0
3 1 0  2.247  40.13  80.2
1 1 4  2.349  38.31  36.0
1 1 0  4.491  19.77  24.9
3 1 3  1.917  47.42  23.8
0 2 1  2.751  32.55  20.7
1 1 1  4.159  21.36  16.4
3 3 4  1.316  71.75  15.8

```
data_LiSnPd5
_chemical_formula_sum 'Li4 Sn4 Pd20'
_symmetry_space_group_name_H-M 'C m c m'
_symmetry_Int_Tables_number 63
_symmetry_space_group_name_Hall '-C 2c 2'
_cell_length_a 7.3450
_cell_length_b 5.6760
_cell_length_c 11.0260
_cell_angle_alpha 90.00
_cell_angle_beta 90.00
_cell_angle_gamma 90.00
loop_
_atom_site_label
_atom_site_fract_x
_atom_site_fract_y
_atom_site_fract_z
Li1 0.0000 0.1217 0.2500
Sn1 0.0000 0.5000 0.0000
Pd1 0.0000 0.4529 0.7500
Pd2 0.2053 0.1475 0.6164
```

---

[4]
Structure and simulated powder diffraction line list of TmPaCoNi (a cell relaxed with PBE; Cu Kα, 1.54184 Å).
Peak positions follow from Bragg's law for the DFT cell and can differ from measured ones.

Top 8 peaks for 10° ≤ 2θ ≤ 90°, in order of falling intensity:
(hkl)  d [Å]  Position (°2θ)  I (rel.)
1 1 1  2.542  35.31  100.0
1 1 3  2.141  42.22  60.4
1 0 2  3.160  28.24  59.1
0 0 4  2.808  31.87  47.9
0 1 3  2.584  34.72  44.0
1 1 5  1.702  53.86  24.7
2 0 0  1.911  47.57  23.2
0 1 1  3.403  26.19  19.7

```
data_TmPaCoNi
_chemical_formula_sum 'Tm2 Pa2 Co2 Ni2'
_symmetry_space_group_name_H-M 'A m m 2'
_symmetry_Int_Tables_number 38
_symmetry_space_group_name_Hall 'A 2 -2'
_cell_length_a 3.8229
_cell_length_b 3.5704
_cell_length_c 11.2305
_cell_angle_alpha 90.00
_cell_angle_beta 90.00
_cell_angle_gamma 90.00
loop_
_atom_site_label
_atom_site_fract_x
_atom_site_fract_y
_atom_site_fract_z
Tm1 0.0000 0.0000 0.0000
Pa1 0.5000 0.0000 0.7320
Co1 0.0000 0.0000 0.2539
Ni1 0.5000 0.0000 0.4187
```

---

[5]
Structure and simulated powder diffraction line list of Sc5PdPt2 (a cell relaxed with PBE; Cu Kα, 1.54184 Å).
Peak positions follow from Bragg's law for the DFT cell and can differ from measured ones.

Top 8 peaks for 10° ≤ 2θ ≤ 90°, in order of falling intensity:
(hkl)  d [Å]  Position (°2θ)  I (rel.)
2 1 1  2.510  35.78  100.0
0 4 1  2.368  38.00  98.5
1 1 1  3.510  25.38  78.4
0 0 2  2.304  39.10  60.2
1 3 0  3.167  28.18  56.6
1 3 1  2.610  34.36  39.7
0 0 1  4.608  19.26  35.4
3 2 1  1.788  51.07  31.0

```
data_Sc5PdPt2
_chemical_formula_sum 'Sc10 Pd2 Pt4'
_symmetry_space_group_name_H-M 'P b a m'
_symmetry_Int_Tables_number 55
_symmetry_space_group_name_Hall '-P 2 2ab'
_cell_length_a 6.2179
_cell_length_b 11.0405
_cell_length_c 4.6077
_cell_angle_alpha 90.00
_cell_angle_beta 90.00
_cell_angle_gamma 90.00
loop_
_atom_site_label
_atom_site_fract_x
_atom_site_fract_y
_atom_site_fract_z
Sc1 0.0000 0.0000 0.0000
Sc2 0.1596 0.2801 0.0000
Sc3 0.1785 0.6031 0.5000
Pd1 0.0000 0.5000 0.0000
Pt1 0.0954 0.8531 0.5000
```

---

[6]
Structure and simulated powder diffraction line list of Ba3In7Ga4 (a cell relaxed with PBE; Cu Kα, 1.54184 Å).
Peak positions follow from Bragg's law for the DFT cell and can differ from measured ones.

Top 8 peaks for 10° ≤ 2θ ≤ 90°, in order of falling intensity:
(hkl)  d [Å]  Position (°2θ)  I (rel.)
1 1 2  2.952  30.28  100.0
5 1 -2  2.900  30.83  91.3
0 2 0  2.407  37.36  59.0
6 0 0  2.458  36.56  51.6
6 2 0  1.720  53.27  34.0
3 1 -3  2.939  30.42  29.2
5 1 -3  2.709  33.07  20.3
9 1 -6  1.620  56.85  18.3

```
data_Ba3In7Ga4
_chemical_formula_sum 'Ba6 In14 Ga8'
_symmetry_space_group_name_H-M 'C 1 2/m 1'
_symmetry_Int_Tables_number 12
_symmetry_space_group_name_Hall '-C 2y'
_cell_length_a 18.2317
_cell_length_b 4.8134
_cell_length_c 11.1352
_cell_angle_alpha 90.00
_cell_angle_beta 126.02
_cell_angle_gamma 90.00
loop_
_atom_site_label
_atom_site_fract_x
_atom_site_fract_y
_atom_site_fract_z
Ba1 0.0000 0.0000 0.0000
Ba2 0.1842 0.5000 0.6915
In1 0.0000 0.0000 0.5000
In2 0.0048 0.5000 0.2882
In3 0.1614 0.0000 0.4283
In4 0.1714 0.5000 0.0331
Ga1 0.1406 0.0000 0.8668
Ga2 0.1584 0.5000 0.2776
```

---

[7]
Structure and simulated powder diffraction line list of Sm3Dy4Bi8 (a cell relaxed with PBE; Cu Kα, 1.54184 Å).
Peak positions follow from Bragg's law for the DFT cell and can differ from measured ones.

Top 8 peaks for 10° ≤ 2θ ≤ 90°, in order of falling intensity:
(hkl)  d [Å]  Position (°2θ)  I (rel.)
0 4 0  3.180  28.06  100.0
0 4 2  2.248  40.11  52.2
0 8 2  1.422  65.66  24.9
4 4 0  1.839  49.56  14.3
4 4 -4  1.832  49.77  14.1
0 8 0  1.590  58.01  13.5
4 0 0  2.255  39.98  13.2
4 0 -4  2.242  40.23  12.9

```
data_Sm3Dy4Bi8
_chemical_formula_sum 'Sm6 Dy8 Bi16'
_symmetry_space_group_name_H-M 'C 1 2/m 1'
_symmetry_Int_Tables_number 12
_symmetry_space_group_name_Hall '-C 2y'
_cell_length_a 12.7112
_cell_length_b 12.7189
_cell_length_c 8.9671
_cell_angle_alpha 90.00
_cell_angle_beta 134.80
_cell_angle_gamma 90.00
loop_
_atom_site_label
_atom_site_fract_x
_atom_site_fract_y
_atom_site_fract_z
Sm1 0.0000 0.0000 0.0000
Sm2 0.2500 0.2500 0.0000
Dy1 0.0000 0.5000 0.0000
Dy2 0.0000 0.5000 0.5000
Dy3 0.2500 0.2500 0.5000
Bi1 0.0000 0.2472 0.5000
Bi2 0.0000 0.2518 0.0000
Bi3 0.2491 0.0000 0.5044
Bi4 0.2496 0.0000 0.9948
```

---

[8]
Structure and simulated powder diffraction line list of Tb4DyCu (a cell relaxed with PBE; Cu Kα, 1.54184 Å).
Peak positions follow from Bragg's law for the DFT cell and can differ from measured ones.

Top 8 peaks for 10° ≤ 2θ ≤ 90°, in order of falling intensity:
(hkl)  d [Å]  Position (°2θ)  I (rel.)
1 0 3  2.791  32.07  100.0
1 1 0  2.489  36.08  47.6
2 1 3  1.489  62.37  29.5
1 0 2  3.133  28.49  21.7
1 1 5  1.844  49.41  18.3
2 0 0  1.760  51.95  16.8
1 0 8  1.543  59.96  16.4
0 0 5  2.746  32.61  14.5

```
data_Tb4DyCu
_chemical_formula_sum 'Tb4 Dy1 Cu1'
_symmetry_space_group_name_H-M 'P 4/m m m'
_symmetry_Int_Tables_number 123
_symmetry_space_group_name_Hall '-P 4 2'
_cell_length_a 3.5205
_cell_length_b 3.5205
_cell_length_c 13.7316
_cell_angle_alpha 90.00
_cell_angle_beta 90.00
_cell_angle_gamma 90.00
loop_
_atom_site_label
_atom_site_fract_x
_atom_site_fract_y
_atom_site_fract_z
Tb1 0.0000 0.0000 0.1251
Tb2 0.5000 0.5000 0.3166
Dy1 0.0000 0.0000 0.5000
Cu1 0.5000 0.5000 0.0000
```

---

[9]
Structure and simulated powder diffraction line list of NaLaCl (a cell relaxed with PBE; Cu Kα, 1.54184 Å).
Peak positions follow from Bragg's law for the DFT cell and can differ from measured ones.

Top 8 peaks for 10° ≤ 2θ ≤ 90°, in order of falling intensity:
(hkl)  d [Å]  Position (°2θ)  I (rel.)
2 0 2  2.795  32.02  100.0
2 0 -3  2.893  30.91  78.6
1 1 1  3.148  28.35  78.6
1 1 0  3.289  27.11  62.5
1 1 -4  2.499  35.93  59.4
0 2 0  1.905  47.75  56.5
2 0 1  3.072  29.07  47.5
3 1 4  1.576  58.57  39.5

```
data_NaLaCl
_chemical_formula_sum 'Na4 La4 Cl4'
_symmetry_space_group_name_H-M 'C 1 m 1'
_symmetry_Int_Tables_number 8
_symmetry_space_group_name_Hall 'C -2y'
_cell_length_a 6.5981
_cell_length_b 3.8093
_cell_length_c 14.2125
_cell_angle_alpha 90.00
_cell_angle_beta 98.98
_cell_angle_gamma 90.00
loop_
_atom_site_label
_atom_site_fract_x
_atom_site_fract_y
_atom_site_fract_z
Na1 0.0000 0.0000 0.0000
Na2 0.2482 0.0000 0.7480
La1 0.0989 0.0000 0.2954
La2 0.3386 0.5000 0.5071
Cl1 0.1266 0.5000 0.8810
Cl2 0.2121 0.5000 0.1374
```

---

[10]
Structure and simulated powder diffraction line list of Sn2PS4 (a cell relaxed with PBE; Cu Kα, 1.54184 Å).
Peak positions follow from Bragg's law for the DFT cell and can differ from measured ones.

Top 8 peaks for 10° ≤ 2θ ≤ 90°, in order of falling intensity:
(hkl)  d [Å]  Position (°2θ)  I (rel.)
2 2 -1  2.846  31.43  100.0
0 0 1  5.475  16.19  71.4
0 0 2  2.737  32.71  47.5
2 0 -1  4.101  21.67  42.5
2 2 1  2.148  42.07  36.2
0 2 0  3.953  22.49  32.3
2 2 0  2.704  33.13  30.7
2 2 -3  1.835  49.69  27.4

```
data_Sn2PS4
_chemical_formula_sum 'Sn4 P2 S8'
_symmetry_space_group_name_H-M 'C 1 m 1'
_symmetry_Int_Tables_number 8
_symmetry_space_group_name_Hall 'C -2y'
_cell_length_a 8.4180
_cell_length_b 7.9061
_cell_length_c 6.2154
_cell_angle_alpha 90.00
_cell_angle_beta 118.25
_cell_angle_gamma 90.00
loop_
_atom_site_label
_atom_site_fract_x
_atom_site_fract_y
_atom_site_fract_z
Sn1 0.0000 0.2406 0.0000
P1 0.0778 0.5000 0.5244
S1 0.1906 0.5000 0.9216
S2 0.1981 0.0000 0.9865
S3 0.2058 0.2823 0.4811
```

---

[11]
Structure and simulated powder diffraction line list of Mg17AlZn11 (a cell relaxed with PBE; Cu Kα, 1.54184 Å).
Peak positions follow from Bragg's law for the DFT cell and can differ from measured ones.

Top 8 peaks for 10° ≤ 2θ ≤ 90°, in order of falling intensity:
(hkl)  d [Å]  Position (°2θ)  I (rel.)
4 0 -3  2.400  37.47  100.0
1 5 -2  2.384  37.74  46.0
1 3 0  4.123  21.56  40.3
3 5 -1  2.152  41.98  38.8
1 1 1  4.391  20.22  33.6
4 0 -1  2.448  36.71  32.5
2 0 0  4.303  20.64  32.3
1 3 -3  2.470  36.38  29.7

```
data_Mg17AlZn11
_chemical_formula_sum 'Mg34 Al2 Zn22'
_symmetry_space_group_name_H-M 'C 1 m 1'
_symmetry_Int_Tables_number 8
_symmetry_space_group_name_Hall 'C -2y'
_cell_length_a 10.2247
_cell_length_b 14.0421
_cell_length_c 9.0722
_cell_angle_alpha 90.00
_cell_angle_beta 122.49
_cell_angle_gamma 90.00
loop_
_atom_site_label
_atom_site_fract_x
_atom_site_fract_y
_atom_site_fract_z
Mg1 0.0000 0.0000 0.0000
Mg2 0.0029 0.0000 0.6036
Mg3 0.0093 0.3190 0.2883
Mg4 0.0252 0.3373 0.6937
Mg5 0.1446 0.1485 0.9016
Mg6 0.1806 0.5000 0.2820
Mg7 0.1895 0.5000 0.9505
Mg8 0.1949 0.1962 0.6066
Mg9 0.2250 0.1351 0.2940
Mg10 0.2971 0.0000 0.5987
Mg11 0.3857 0.3000 0.9676
Al1 0.0053 0.5000 0.4693
Zn1 0.1866 0.3114 0.1100
Zn2 0.2785 0.4042 0.6592
Zn3 0.3390 0.0000 0.1282
Zn4 0.3574 0.3137 0.4646
Zn5 0.4253 0.0956 0.9306
Zn6 0.4552 0.4070 0.2838
```

---

[12]
Structure and simulated powder diffraction line list of CsAl6Au12 (a cell relaxed with PBE; Cu Kα, 1.54184 Å).
Peak positions follow from Bragg's law for the DFT cell and can differ from measured ones.

Top 8 peaks for 10° ≤ 2θ ≤ 90°, in order of falling intensity:
(hkl)  d [Å]  Position (°2θ)  I (rel.)
1 3 1  2.740  32.68  100.0
1 1 3  2.712  33.03  46.7
0 3 3  2.283  39.47  45.8
5 0 2  1.886  48.24  33.2
0 1 2  4.177  21.27  25.3
3 2 1  2.300  39.17  21.8
2 0 2  3.424  26.02  18.3
3 1 5  1.541  60.04  17.3

```
data_CsAl6Au12
_chemical_formula_sum 'Cs3 Al18 Au36'
_symmetry_space_group_name_H-M 'R -3 m'
_symmetry_Int_Tables_number 166
_symmetry_space_group_name_Hall '-R 3 2"'
_cell_length_a 11.9608
_cell_length_b 11.9608
_cell_length_c 9.1289
_cell_angle_alpha 90.00
_cell_angle_beta 90.00
_cell_angle_gamma 120.00
loop_
_atom_site_label
_atom_site_fract_x
_atom_site_fract_y
_atom_site_fract_z
Cs1 0.0000 0.0000 0.0000
Al1 0.0565 0.5283 0.2544
Au1 0.0000 0.3813 0.5000
Au2 0.0877 0.1754 0.3178
```